# NaZr
Computed XRD peak list, Cu Ka. Input: a GGA-PBE-relaxed structure.

Structure:
a b c (Å): 5.660 3.264 11.784
angles (deg): 90.00 90.08 90.00
Fractional coordinates of all 8 atoms:
Na (0.000, 0.000, 0.000)
Na (0.160, 0.500, 0.279)
Na (0.500, 0.500, 0.000)
Na (0.660, 0.000, 0.279)
Zr (0.331, 0.000, 0.743)
Zr (0.495, 0.500, 0.537)
Zr (0.831, 0.500, 0.743)
Zr (0.995, 0.000, 0.537)

The 10 most intense peaks (2θ = 10–80°), by intensity:
(1 1 -2), 2θ = 35.20°, intensity 100; (2 0 1), 2θ = 32.56°, intensity 54; (2 0 -3), 2θ = 39.25°, intensity 50; (0 0 4), 2θ = 30.34°, intensity 31; (3 1 0), 2θ = 56.35°, intensity 20; (3 1 4), 2θ = 65.34°, intensity 19; (2 0 -4), 2θ = 44.40°, intensity 17; (2 0 6), 2θ = 57.10°, intensity 16; (2 0 0), 2θ = 31.64°, intensity 14; (1 1 -7), 2θ = 64.41°, intensity 12


# NaZr
Computed XRD peak list, Cu Ka. Input: a GGA-PBE-relaxed structure.

Structure:
a b c (Å): 3.168 3.167 11.222
angles (deg): 90.00 90.13 90.00
Fractional coordinates of all 4 atoms:
Na (0.247, 0.250, 0.145)
Na (0.753, 0.750, 0.855)
Zr (0.251, 0.250, 0.593)
Zr (0.749, 0.750, 0.407)

The 10 most intense peaks (2θ = 10–80°), by intensity:
(1 0 2), 2θ = 32.46°, intensity 100; (1 1 0), 2θ = 40.24°, intensity 40; (1 0 -3), 2θ = 37.19°, intensity 38; (2 1 2), 2θ = 68.28°, intensity 21; (1 1 -1), 2θ = 41.09°, intensity 17; (0 0 4), 2θ = 31.90°, intensity 16; (2 0 0), 2θ = 58.25°, intensity 16; (1 1 4), 2θ = 52.26°, intensity 15; (1 0 1), 2θ = 29.29°, intensity 11; (0 0 2), 2θ = 15.79°, intensity 11


# Nb
Computed XRD peak list, Cu Ka. Input: a GGA-PBE-relaxed structure.

Structure:
a b c (Å): 2.863 2.863 5.277
angles (deg): 90.00 90.00 120.00
Fractional coordinates of all 2 atoms:
Nb (0.333, 0.667, 0.250)
Nb (0.667, 0.333, 0.750)

The 10 most intense peaks (2θ = 10–80°), by intensity:
(1 0 1), 2θ = 40.19°, intensity 100; (0 0 2), 2θ = 33.98°, intensity 36; (1 0 3), 2θ = 65.01°, intensity 23; (1 0 0), 2θ = 36.23°, intensity 22; (1 1 2), 2θ = 75.57°, intensity 20; (1 0 2), 2θ = 50.51°, intensity 17; (1 1 0), 2θ = 65.17°, intensity 15; (2 0 1), 2θ = 79.40°, intensity 13; (0 0 4), 2θ = 71.52°, intensity 4; (2 0 0), 2θ = 76.90°, intensity 2